Entry 1:
The following is a theoretical powder X-ray diffraction pattern of CaSbAu. It was derived from a cell relaxed with GGA-PBE, using copper Kα.

Main lines, in order of rising 2θ (10 to 90 degrees two-theta):
| d_spacing | Position (°2θ) | I (rel.) |
| --- | --- | --- |
| 7.142 | 12.4 | 89 |
| 3.898 | 22.8 | 18 |
| 2.987 | 29.9 | 63 |
| 2.419 | 37.2 | 100 |
| 2.326 | 38.7 | 47 |
| 2.211 | 40.8 | 21 |
| 1.644 | 55.9 | 16 |
| 1.441 | 64.7 | 14 |
| 1.416 | 66.0 | 17 |
| 1.360 | 69.1 | 32 |

a = 4.6513 Å, b = 4.6513 Å, c = 7.1422 Å
α = 90.02°, β = 90.02°, γ = 90.00°
Fractional positions:
Ca1 0.2497 0.2497 0.2012
Ca2 0.7503 0.7503 0.7988
Sb1 0.2506 0.2506 0.7505
Sb2 0.7494 0.7494 0.2495
Au1 0.2496 0.7504 0.5000
Au2 0.7504 0.2496 0.5000

=====

Entry 2:
The following is a theoretical powder X-ray diffraction pattern of Ca3Si2Sb2Au4. It was derived from a cell relaxed with GGA-PBE, using copper Kα.

Main lines, in order of rising 2θ (10 to 90 degrees two-theta):
| d_spacing | Position (°2θ) | I (rel.) |
| --- | --- | --- |
| 4.305 | 20.6 | 31 |
| 3.227 | 27.6 | 100 |
| 2.635 | 34.0 | 89 |
| 2.356 | 38.2 | 55 |
| 2.067 | 43.8 | 19 |
| 1.903 | 47.8 | 27 |
| 1.808 | 50.5 | 18 |
| 1.666 | 55.1 | 19 |
| 1.480 | 62.8 | 26 |
| 1.408 | 66.4 | 26 |

a = 13.3373 Å, b = 13.3373 Å, c = 13.3373 Å
α = 159.65°, β = 159.65°, γ = 28.93°
Fractional positions:
Ca1 0.0000 0.0000 0.0000
Ca2 0.1746 0.1746 0.0000
Ca3 0.8254 0.8254 0.0000
Si1 0.4010 0.4010 0.0000
Si2 0.5990 0.5990 0.0000
Sb1 0.3019 0.3019 0.0000
Sb2 0.6981 0.6981 0.0000
Au1 0.0763 0.5763 0.5000
Au2 0.4237 0.9237 0.5000
Au3 0.5763 0.0763 0.5000
Au4 0.9237 0.4237 0.5000

=====

Entry 3:
The following is a theoretical powder X-ray diffraction pattern of CaTlSbAu. It was derived from a cell relaxed with GGA-PBE, using copper Kα.

Main lines, in order of rising 2θ (10 to 90 degrees two-theta):
| d_spacing | Position (°2θ) | I (rel.) |
| --- | --- | --- |
| 5.018 | 17.7 | 21 |
| 3.212 | 27.8 | 24 |
| 2.705 | 33.1 | 100 |
| 2.509 | 35.8 | 23 |
| 2.373 | 37.9 | 12 |
| 2.182 | 41.4 | 15 |
| 2.145 | 42.1 | 15 |
| 1.977 | 45.9 | 13 |
| 1.646 | 55.8 | 13 |
| 1.484 | 62.6 | 16 |

a = 4.3639 Å, b = 5.0183 Å, c = 4.7454 Å
α = 90.00°, β = 90.00°, γ = 90.00°
Fractional positions:
Ca1 0.0000 0.0000 0.0000
Tl1 0.0000 0.5000 0.5788
Sb1 0.5000 0.0000 0.4765
Au1 0.5000 0.5000 0.1151

=====

Entry 4:
The following is a theoretical powder X-ray diffraction pattern of CaScAu. It was derived from a cell relaxed with GGA-PBE, using copper Kα.

Main lines, in order of rising 2θ (10 to 90 degrees two-theta):
| d_spacing | Position (°2θ) | I (rel.) |
| --- | --- | --- |
| 6.204 | 14.3 | 90 |
| 3.386 | 26.3 | 52 |
| 2.681 | 33.4 | 100 |
| 2.489 | 36.1 | 48 |
| 2.310 | 39.0 | 33 |
| 2.028 | 44.7 | 31 |
| 1.760 | 52.0 | 16 |
| 1.591 | 58.0 | 14 |
| 1.471 | 63.2 | 31 |
| 1.329 | 70.9 | 16 |

a = 6.6851 Å, b = 6.6851 Å, c = 6.6851 Å
α = 149.47°, β = 149.47°, γ = 43.72°
Fractional positions:
Ca1 0.0000 0.0000 0.0000
Sc1 0.7242 0.7242 0.0000
Au1 0.3319 0.3319 0.0000

=====

Entry 5:
The following is a theoretical powder X-ray diffraction pattern of CaAuSe2. It was derived from a cell relaxed with GGA-PBE, using copper Kα.

Main lines, in order of rising 2θ (10 to 90 degrees two-theta):
| d_spacing | Position (°2θ) | I (rel.) |
| --- | --- | --- |
| 5.257 | 16.9 | 51 |
| 4.784 | 18.5 | 40 |
| 3.865 | 23.0 | 79 |
| 3.599 | 24.7 | 35 |
| 3.007 | 29.7 | 100 |
| 2.629 | 34.1 | 60 |
| 2.392 | 37.6 | 48 |
| 2.217 | 40.7 | 44 |
| 2.034 | 44.5 | 28 |
| 1.769 | 51.7 | 36 |

a = 4.0068 Å, b = 4.7841 Å, c = 5.4492 Å
α = 90.00°, β = 105.26°, γ = 90.00°
Fractional positions:
Ca1 0.0000 0.0000 0.0000
Au1 0.5195 0.5000 0.5544
Se1 0.3327 0.0000 0.5594
Se2 0.5261 0.5000 0.0607

=====

Entry 6:
The following is a theoretical powder X-ray diffraction pattern of CaAu2Se. It was derived from a cell relaxed with GGA-PBE, using copper Kα.

Main lines, in order of rising 2θ (10 to 90 degrees two-theta):
| d_spacing | Position (°2θ) | I (rel.) |
| --- | --- | --- |
| 5.492 | 16.1 | 100 |
| 2.848 | 31.4 | 91 |
| 2.746 | 32.6 | 71 |
| 2.561 | 35.0 | 84 |
| 2.497 | 36.0 | 78 |
| 2.009 | 45.1 | 34 |
| 1.994 | 45.5 | 29 |
| 1.947 | 46.7 | 30 |
| 1.936 | 46.9 | 26 |
| 1.613 | 57.1 | 29 |

a = 4.0731 Å, b = 3.9879 Å, c = 5.4979 Å
α = 90.00°, β = 92.57°, γ = 90.00°
Fractional positions:
Ca1 0.0000 0.0000 0.0000
Au1 0.2895 0.0000 0.5091
Au2 0.7848 0.5000 0.4920
Se1 0.5131 0.5000 0.0006

=====

Repeat the sixth record exactly.
The following is a theoretical powder X-ray diffraction pattern of CaAu2Se. It was derived from a cell relaxed with GGA-PBE, using copper Kα.

Main lines, in order of rising 2θ (10 to 90 degrees two-theta):
| d_spacing | Position (°2θ) | I (rel.) |
| --- | --- | --- |
| 5.492 | 16.1 | 100 |
| 2.848 | 31.4 | 91 |
| 2.746 | 32.6 | 71 |
| 2.561 | 35.0 | 84 |
| 2.497 | 36.0 | 78 |
| 2.009 | 45.1 | 34 |
| 1.994 | 45.5 | 29 |
| 1.947 | 46.7 | 30 |
| 1.936 | 46.9 | 26 |
| 1.613 | 57.1 | 29 |

a = 4.0731 Å, b = 3.9879 Å, c = 5.4979 Å
α = 90.00°, β = 92.57°, γ = 90.00°
Fractional positions:
Ca1 0.0000 0.0000 0.0000
Au1 0.2895 0.0000 0.5091
Au2 0.7848 0.5000 0.4920
Se1 0.5131 0.5000 0.0006